[1]
Theoretical powder XRD pattern
Compound: Sm2Zn15Ag2
Radiation: λ = 1.5418 Å (Cu Kα)
Structure: the GGA-PBE geometry in OQMD
Lines closer than 0.1° are merged.

The 10 most intense peaks (2θ from 15° to 90°), in order of rising 2θ:
| 2θ/deg | I_rel |
| --- | --- |
| 34.31 | 58 |
| 35.47 | 44 |
| 39.82 | 82 |
| 40.08 | 100 |
| 40.85 | 65 |
| 41.11 | 27 |
| 45.00 | 43 |
| 58.37 | 28 |
| 72.29 | 24 |
| 73.87 | 30 |

Crystal structure
```
19
Lattice="4.527 2.614 4.418 -4.527 2.614 4.418 0.000 -5.228 4.418" Properties=species:S:1:pos:R:3 pbc="T T T"
Sm 0.000 0.000 2.109
Sm 0.000 0.000 11.144
Zn -2.264 -1.307 4.418
Zn 0.000 -2.689 4.231
Zn -2.328 1.344 4.231
Zn -1.336 -2.315 6.627
Zn -2.673 0.000 6.627
Zn -2.328 -1.344 9.022
Zn -2.264 1.307 8.835
Zn 1.336 -2.315 6.627
Zn 0.000 2.614 4.418
Zn -1.336 2.315 6.627
Zn 2.328 1.344 4.231
Zn 2.673 0.000 6.627
Zn 1.336 2.315 6.627
Zn 2.328 -1.344 9.022
Zn 0.000 2.689 9.022
Ag 0.000 0.000 5.219
Ag 0.000 0.000 8.034
```

=====

[2]
Theoretical powder XRD pattern
Compound: Ag2SnHgTe2Se2
Radiation: λ = 1.5418 Å (Cu Kα)
Structure: the GGA-PBE geometry in OQMD
Lines closer than 0.1° are merged.

The 10 most intense peaks (2θ from 15° to 90°), in order of rising 2θ:
| 2θ/deg | I_rel |
| --- | --- |
| 24.23 | 98 |
| 24.45 | 100 |
| 40.04 | 26 |
| 40.18 | 51 |
| 40.30 | 51 |
| 40.60 | 24 |
| 47.42 | 33 |
| 47.58 | 31 |
| 58.13 | 16 |
| 72.95 | 17 |

Crystal structure
```
8
Lattice="7.024 -3.175 0.000 7.024 3.175 0.000 -2.790 0.000 5.699" Properties=species:S:1:pos:R:3 pbc="T T T"
Ag 2.880 0.000 1.302
Ag 8.378 0.000 4.397
Sn 7.024 0.135 0.000
Hg 5.629 3.118 2.849
Te 3.425 -1.521 3.562
Te 7.832 -1.521 2.137
Se 4.937 1.567 0.670
Se 6.321 1.567 5.029
```

=====

[3]
Theoretical powder XRD pattern
Compound: LaPmGa6
Radiation: λ = 1.5418 Å (Cu Kα)
Structure: the GGA-PBE geometry in OQMD
Lines closer than 0.1° are merged.

The 10 most intense peaks (2θ from 15° to 90°), in order of rising 2θ:
| 2θ/deg | I_rel |
| --- | --- |
| 25.09 | 20 |
| 31.61 | 26 |
| 37.40 | 100 |
| 39.55 | 21 |
| 42.24 | 10 |
| 51.49 | 13 |
| 56.29 | 16 |
| 69.55 | 10 |
| 70.33 | 15 |
| 70.97 | 15 |

Crystal structure
```
8
Lattice="6.537 0.000 0.000 -3.269 5.661 0.000 0.000 0.000 4.557" Properties=species:S:1:pos:R:3 pbc="T T T"
La 0.000 0.000 0.000
Pm 3.269 1.887 2.279
Ga -1.406 2.963 0.000
Ga 0.000 2.174 2.279
Ga -1.386 4.574 2.279
Ga 1.406 2.963 0.000
Ga 0.000 5.397 0.000
Ga 1.386 4.574 2.279
```